This entry pairs a crystal structure of Ba5Sr6Ca4 with its theoretical powder diffractogram. Radiation: Cu Kα (weighted mean of Kα1 and Kα2). Structure: a crystal structure in Alexandria, relaxed with PBE.

Structural model:
Lattice parameters (Å, degrees): 17.932 17.932 21.974 90.00 90.00 166.63
Atoms (fractional coordinates):
Ba: 0.014 0.986 0.500
Ba: 0.135 0.865 0.768
Ba: 0.165 0.835 0.117
Ba: 0.188 0.812 0.438
Ba: 0.301 0.699 0.445
Ba: 0.699 0.301 0.945
Ba: 0.812 0.188 0.938
Ba: 0.835 0.165 0.617
Ba: 0.865 0.135 0.268
Ba: 0.986 0.014 0.000
Sr: 0.034 0.966 0.677
Sr: 0.067 0.933 0.254
Sr: 0.095 0.905 0.952
Sr: 0.223 0.777 0.613
Sr: 0.256 0.744 0.273
Sr: 0.410 0.590 0.906
Sr: 0.590 0.410 0.406
Sr: 0.744 0.256 0.773
Sr: 0.777 0.223 0.113
Sr: 0.905 0.095 0.452
Sr: 0.933 0.067 0.754
Sr: 0.966 0.034 0.177
Ca: 0.338 0.662 0.776
Ca: 0.381 0.619 0.084
Ca: 0.438 0.562 0.603
Ca: 0.477 0.523 0.338
Ca: 0.523 0.477 0.838
Ca: 0.562 0.438 0.103
Ca: 0.619 0.381 0.584
Ca: 0.662 0.338 0.276

Peak list (10 most intense, 5° ≤ 2θ ≤ 70°, sorted by position)
22.9 deg, intensity 48; 24.3 deg, intensity 48; 24.8 deg, intensity 42; 25.3 deg, intensity 51; 26.3 deg, intensity 78; 27.6 deg, intensity 100; 27.9 deg, intensity 54; 30.3 deg, intensity 40; 43.3 deg, intensity 33; 44.6 deg, intensity 29